# 1
The following is a simulated XRD peak list of LiCoP2O7. It was derived from a DFT-relaxed cell (GGA+U, Alexandria), using Cu Kα X-rays.
Kinematic intensities with the Lorentz-polarization factor, no thermal factor.

Atomic structure:
```
data_LiCoP2O7
_cell_length_a 7.9253
_cell_length_b 7.9253
_cell_length_c 8.7088
_cell_angle_alpha 108.76
_cell_angle_beta 108.76
_cell_angle_gamma 37.09
_space_group_name_H-M_alt 'P 1'
_space_group_IT_number 1
_space_group_name_Hall 'P 1'
loop_
_atom_site_label
_atom_site_type_symbol
_atom_site_fract_x
_atom_site_fract_y
_atom_site_fract_z
Li1 Li 0.1804 0.8196 0.5000
Li2 Li 0.8196 0.1804 0.0000
Co1 Co 0.7752 0.8175 0.9623
Co2 Co 0.8175 0.7752 0.4623
P1 P 0.0415 0.3544 0.6710
P2 P 0.2444 0.5474 0.7733
P3 P 0.3544 0.0415 0.1710
P4 P 0.5474 0.2444 0.2733
O1 O 0.0062 0.7745 0.8900
O2 O 0.0873 0.1468 0.1201
O3 O 0.1146 0.6748 0.6082
O4 O 0.1468 0.0873 0.6201
O5 O 0.2833 0.3112 0.2299
O6 O 0.3112 0.2833 0.7299
O7 O 0.4429 0.5090 0.3438
O8 O 0.5090 0.4429 0.8438
O9 O 0.5225 0.8792 0.3240
O10 O 0.5475 0.8609 0.0333
O11 O 0.6748 0.1146 0.1082
O12 O 0.7745 0.0062 0.3900
O13 O 0.8609 0.5475 0.5333
O14 O 0.8792 0.5225 0.8240
```

Largest 6 diffraction maxima, in order of falling intensity, 15 to 90 degrees two-theta:
d 3.291, I 100; d 4.327, I 38; d 3.442, I 26; d 3.919, I 25; d 2.940, I 15; d 3.031, I 13

# 2
The following is a simulated XRD peak list of Li6Co5P8O28. It was derived from a DFT-relaxed cell (GGA+U, Alexandria), using Cu Kα X-rays.
Kinematic intensities with the Lorentz-polarization factor, no thermal factor.

Atomic structure:
```
data_Li6Co5P8O28
_cell_length_a 6.3521
_cell_length_b 8.4683
_cell_length_c 10.1044
_cell_angle_alpha 107.67
_cell_angle_beta 90.34
_cell_angle_gamma 92.79
_space_group_name_H-M_alt 'P 1'
_space_group_IT_number 1
_space_group_name_Hall 'P 1'
loop_
_atom_site_label
_atom_site_type_symbol
_atom_site_fract_x
_atom_site_fract_y
_atom_site_fract_z
Li1 Li 0.0000 0.0000 0.0000
Li2 Li 0.0234 0.6629 0.1039
Li3 Li 0.0942 0.1121 0.6253
Li4 Li 0.5000 0.0000 0.0000
Li5 Li 0.9058 0.8879 0.3747
Li6 Li 0.9766 0.3371 0.8961
Co1 Co 0.3112 0.3830 0.1407
Co2 Co 0.3584 0.3832 0.5616
Co3 Co 0.5000 0.0000 0.5000
Co4 Co 0.6416 0.6168 0.4384
Co5 Co 0.6888 0.6170 0.8593
P1 P 0.1512 0.7089 0.5214
P2 P 0.1878 0.6812 0.8128
P3 P 0.2645 0.0371 0.2384
P4 P 0.4739 0.2561 0.8207
P5 P 0.5261 0.7439 0.1793
P6 P 0.7355 0.9629 0.7616
P7 P 0.8122 0.3188 0.1872
P8 P 0.8488 0.2911 0.4786
O1 O 0.0182 0.5847 0.8710
O2 O 0.0442 0.3367 0.5731
O3 O 0.0715 0.9198 0.2243
O4 O 0.0782 0.7011 0.6713
O5 O 0.2226 0.8887 0.5319
O6 O 0.2388 0.8529 0.9105
O7 O 0.2553 0.1457 0.1414
O8 O 0.2960 0.3061 0.9224
O9 O 0.3269 0.5834 0.4747
O10 O 0.3294 0.6273 0.1486
O11 O 0.3378 0.1315 0.3881
O12 O 0.3854 0.5798 0.7620
O13 O 0.3944 0.2114 0.6670
O14 O 0.4605 0.9215 0.1684
O15 O 0.5395 0.0785 0.8316
O16 O 0.6056 0.7886 0.3330
O17 O 0.6146 0.4202 0.2380
O18 O 0.6622 0.8685 0.6119
O19 O 0.6706 0.3727 0.8514
O20 O 0.6731 0.4166 0.5253
O21 O 0.7040 0.6939 0.0776
O22 O 0.7447 0.8543 0.8586
O23 O 0.7612 0.1471 0.0895
O24 O 0.7774 0.1113 0.4681
O25 O 0.9218 0.2989 0.3287
O26 O 0.9285 0.0802 0.7757
O27 O 0.9558 0.6633 0.4269
O28 O 0.9818 0.4153 0.1290
```

Largest 6 diffraction maxima, in order of falling intensity, 15 to 90 degrees two-theta:
d 3.208, I 100; d 2.899, I 41; d 3.040, I 38; d 4.737, I 35; d 2.686, I 32; d 3.430, I 32

# 3
The following is a simulated XRD peak list of Li3Co3P4O16. It was derived from a DFT-relaxed cell (GGA+U, Alexandria), using Cu Kα X-rays.
Kinematic intensities with the Lorentz-polarization factor, no thermal factor.

Atomic structure:
```
data_Li3Co3P4O16
_cell_length_a 5.0844
_cell_length_b 7.6917
_cell_length_c 7.9399
_cell_angle_alpha 87.45
_cell_angle_beta 89.19
_cell_angle_gamma 86.90
_space_group_name_H-M_alt 'P 1'
_space_group_IT_number 1
_space_group_name_Hall 'P 1'
loop_
_atom_site_label
_atom_site_type_symbol
_atom_site_fract_x
_atom_site_fract_y
_atom_site_fract_z
Li1 Li 0.0000 0.0000 0.0000
Li2 Li 0.1590 0.8194 0.7178
Li3 Li 0.6921 0.3131 0.4948
Co1 Co 0.0740 0.9421 0.3726
Co2 Co 0.4556 0.5100 0.2182
Co3 Co 0.5820 0.4030 0.8423
P1 P 0.0346 0.6046 0.0527
P2 P 0.1227 0.2149 0.6655
P3 P 0.5457 0.1156 0.1637
P4 P 0.6059 0.7147 0.5437
O1 O 0.0257 0.7579 0.9312
O2 O 0.0392 0.1650 0.4834
O3 O 0.1308 0.0575 0.7856
O4 O 0.1401 0.6506 0.2327
O5 O 0.2663 0.4619 0.0160
O6 O 0.2791 0.0259 0.1737
O7 O 0.3870 0.8555 0.5037
O8 O 0.3962 0.2974 0.6572
O9 O 0.5304 0.2706 0.2835
O10 O 0.5429 0.6357 0.7236
O11 O 0.6140 0.1818 0.9811
O12 O 0.6216 0.5646 0.4178
O13 O 0.7666 0.5174 0.0617
O14 O 0.7693 0.9815 0.2182
O15 O 0.8771 0.7994 0.5398
O16 O 0.9118 0.3580 0.7149
```

Largest 6 diffraction maxima, in order of falling intensity, 15 to 90 degrees two-theta:
d 5.398, I 100; d 3.754, I 82; d 4.133, I 80; d 2.880, I 73; d 3.515, I 61; d 4.342, I 54